# Np4Ga12Re
Theoretical PXRD pattern, a wavelength of 1.5418 Å. Input: a PBE-relaxed structure.
Peak positions follow from Bragg's law for the DFT cell and can differ from measured ones.

Crystal structure
abc: 7.469 7.469 7.469
angles: 109.47 109.47 109.47
Sites, in units of the cell vectors:
Np: 0.000 0.000 0.500
Np: 0.000 0.500 0.000
Np: 0.500 0.000 0.000
Np: 0.500 0.500 0.500
Ga: 0.000 0.292 0.292
Ga: 0.000 0.708 0.708
Ga: 0.250 0.500 0.750
Ga: 0.250 0.750 0.500
Ga: 0.292 0.000 0.292
Ga: 0.292 0.292 0.000
Ga: 0.500 0.250 0.750
Ga: 0.500 0.750 0.250
Ga: 0.708 0.000 0.708
Ga: 0.708 0.708 0.000
Ga: 0.750 0.250 0.500
Ga: 0.750 0.500 0.250
Re: 0.000 0.000 0.000

The 12 most intense peaks (2θ = 15–90°), low angle first:
d 4.312, intensity 22
d 3.049, intensity 76
d 2.490, intensity 100
d 2.305, intensity 14
d 2.156, intensity 74
d 1.929, intensity 15
d 1.761, intensity 28
d 1.525, intensity 46
d 1.364, intensity 19
d 1.300, intensity 33
d 1.245, intensity 14
d 1.153, intensity 20



# Np2Ga12Rh
Theoretical PXRD pattern, a wavelength of 1.5418 Å. Input: a PBE-relaxed structure.
Peak positions follow from Bragg's law for the DFT cell and can differ from measured ones.

Crystal structure
abc: 6.018 6.018 15.630
angles: 90.00 90.00 90.00
Sites, in units of the cell vectors:
Np: 0.250 0.750 0.241
Np: 0.250 0.750 0.759
Np: 0.750 0.250 0.241
Np: 0.750 0.250 0.759
Ga: 0.000 0.000 0.089
Ga: 0.000 0.000 0.911
Ga: 0.000 0.500 0.089
Ga: 0.000 0.500 0.911
Ga: 0.080 0.580 0.430
Ga: 0.080 0.920 0.570
Ga: 0.250 0.250 0.190
Ga: 0.250 0.250 0.344
Ga: 0.250 0.250 0.656
Ga: 0.250 0.250 0.810
Ga: 0.420 0.580 0.570
Ga: 0.420 0.920 0.430
Ga: 0.500 0.000 0.089
Ga: 0.500 0.000 0.911
Ga: 0.500 0.500 0.089
Ga: 0.500 0.500 0.911
Ga: 0.580 0.080 0.570
Ga: 0.580 0.420 0.430
Ga: 0.750 0.750 0.190
Ga: 0.750 0.750 0.344
Ga: 0.750 0.750 0.656
Ga: 0.750 0.750 0.810
Ga: 0.920 0.080 0.430
Ga: 0.920 0.420 0.570
Rh: 0.250 0.750 0.000
Rh: 0.750 0.250 0.000

The 12 most intense peaks (2θ = 15–90°), low angle first:
d 4.256, intensity 29
d 3.009, intensity 18
d 2.878, intensity 79
d 2.808, intensity 100
d 2.605, intensity 18
d 2.384, intensity 52
d 2.222, intensity 36
d 2.168, intensity 24
d 2.128, intensity 63
d 1.776, intensity 17
d 1.711, intensity 39
d 1.363, intensity 25



# NpGaSe3
Theoretical PXRD pattern, a wavelength of 1.5418 Å. Input: a PBE-relaxed structure.
Peak positions follow from Bragg's law for the DFT cell and can differ from measured ones.

Crystal structure
abc: 4.086 12.125 12.125
angles: 147.82 90.00 90.00
Sites, in units of the cell vectors:
Np: 0.250 0.173 0.827
Np: 0.750 0.827 0.173
Ga: 0.250 0.300 0.544
Ga: 0.750 0.544 0.300
Se: 0.250 0.046 0.486
Se: 0.250 0.353 0.201
Se: 0.250 0.665 0.897
Se: 0.750 0.201 0.353
Se: 0.750 0.486 0.046
Se: 0.750 0.897 0.665

The 12 most intense peaks (2θ = 15–90°), low angle first:
d 5.825, intensity 61
d 5.082, intensity 79
d 3.830, intensity 44
d 3.453, intensity 100
d 3.185, intensity 48
d 2.794, intensity 44
d 2.541, intensity 48
d 2.533, intensity 32
d 2.371, intensity 85
d 2.043, intensity 30
d 2.023, intensity 65
d 1.593, intensity 32